For KCrClO3, the PBE+U geometry in Alexandria gives the simulated powder diffraction line list in this record (copper Kα).
Kinematic intensities with the Lorentz-polarization factor, no thermal factor.

Structure:
```
24
Lattice="8.5430 0.0000 0.0000 0.0000 7.4026 0.0000 -0.4978 0.0000 7.9099" Properties=species:S:1:pos:R:3 pbc="T T T"
K 1.3517 1.0213 1.1269
K 1.1028 2.6800 5.0819
K 6.9424 4.7226 2.8281
K 6.6935 6.3813 6.7830
Cr 1.8269 4.5546 1.0832
Cr 1.5780 6.5494 5.0381
Cr 6.4671 0.8532 2.8718
Cr 6.2183 2.8481 6.8268
Cl 3.4231 5.4140 5.2075
Cl 3.6720 5.6900 1.2525
Cl 4.3732 1.7126 6.6574
Cl 4.6221 1.9887 2.7025
O 0.3525 5.4845 4.8664
O 0.6014 5.6195 0.9114
O 1.3536 0.0449 6.3792
O 1.6025 3.6564 2.4243
O 1.6649 0.1392 3.7537
O 1.4160 3.5622 7.7087
O 6.6292 3.8405 0.2013
O 6.3803 7.2635 4.1562
O 6.4427 3.7462 5.4857
O 6.6916 7.3577 1.5307
O 7.4438 1.7831 6.9985
O 7.6926 1.9182 3.0435
```

The 6 most intense peaks (2θ from 10° to 90°), in order of rising 2θ:
hkl 2 0 0, d 4.263, 20.84 deg, intensity 63
hkl 1 0 -2, d 3.677, 24.20 deg, intensity 100
hkl 1 0 2, d 3.505, 25.41 deg, intensity 59
hkl 0 2 1, d 3.352, 26.59 deg, intensity 62
hkl 1 2 1, d 3.092, 28.88 deg, intensity 76
hkl 2 2 -1, d 2.670, 33.56 deg, intensity 72